Record 1
For Li3Co2Ge2O8, a DFT-relaxed cell (GGA+U, Alexandria) gives the computed powder diffraction line list in this record (copper Kα).
Intensities are scaled so that the largest is 100.

Largest 8 diffraction maxima, low angle first, 2θ from 10° to 80°:
2θ/deg  intensity  h k l
15.71  99  0 1 0
23.34  95  1 -1 0
23.67  100  1 1 0
28.33  71  0 0 2
32.45  37  0 1 -2
32.66  32  0 1 2
35.17  62  2 0 0
37.02  35  -1 1 2

Atomic structure:
```
Li3Co2Ge2O8
1.0
5.105 0.000 0.000
-0.080 5.642 0.000
-0.024 -0.047 6.300
Li Co Ge O
3 2 2 8
Direct
0.000 0.000 0.000
0.002 0.003 0.502
0.515 0.674 0.505
0.019 0.508 0.758
0.499 0.173 0.250
0.007 0.509 0.254
0.517 0.186 0.749
0.355 0.471 0.276
0.393 0.052 0.988
0.400 0.474 0.732
0.408 0.020 0.512
0.864 0.173 0.751
0.873 0.207 0.252
0.903 0.664 0.484
0.932 0.666 0.024
```


Record 2
For Sr2Mn2SeO4, a DFT-relaxed cell (GGA+U, Alexandria) gives the computed powder diffraction line list in this record (copper Kα).
Intensities are scaled so that the largest is 100.

Largest 8 diffraction maxima, low angle first, 2θ from 10° to 80°:
2θ/deg  intensity  h k l
28.80  100  2 2 1
31.62  39  2 3 0
33.05  20  0 2 2
34.89  38  2 1 2
37.09  22  4 0 0
47.92  18  4 3 1
50.52  25  0 3 3
56.01  27  2 5 2

Atomic structure:
```
Sr2Mn2SeO4
1.0
9.696 0.000 0.000
0.000 10.452 0.000
0.000 0.000 6.339
Sr Mn Se O
8 8 4 16
Direct
0.129 0.049 0.232
0.129 0.451 0.232
0.371 0.549 0.732
0.371 0.951 0.732
0.629 0.049 0.268
0.629 0.451 0.268
0.871 0.549 0.768
0.871 0.951 0.768
0.120 0.250 0.724
0.121 0.750 0.032
0.379 0.250 0.532
0.380 0.750 0.224
0.620 0.250 0.776
0.621 0.750 0.468
0.879 0.250 0.968
0.880 0.750 0.276
0.115 0.750 0.590
0.385 0.250 0.090
0.615 0.750 0.910
0.885 0.250 0.410
0.023 0.127 0.898
0.023 0.373 0.898
0.231 0.125 0.573
0.231 0.375 0.573
0.269 0.625 0.073
0.269 0.875 0.073
0.477 0.627 0.398
0.477 0.873 0.398
0.523 0.127 0.602
0.523 0.373 0.602
0.731 0.125 0.927
0.731 0.375 0.927
0.769 0.625 0.427
0.769 0.875 0.427
0.977 0.627 0.102
0.977 0.873 0.102
```